Entry 1:
Calculated X-ray diffraction stick pattern
Compound: TlCu2Se2
Radiation: copper Kα
Structure: a structure optimized by DFT (PBE)

Cell and atoms:
```
5
Lattice="-1.935 1.935 7.207 1.935 -1.935 7.207 1.935 1.935 -7.207" Properties=species:S:1:pos:R:3 pbc="T T T"
Tl 0.000 0.000 0.000
Cu 1.935 0.000 3.603
Cu 0.000 1.935 3.603
Se 0.000 0.000 5.145
Se 0.000 0.000 9.268
```

The 12 most intense peaks (5° ≤ 2θ ≤ 70°), sorted by position:
d 3.737, 23.81 deg, intensity 139; d 3.603, 24.71 deg, intensity 125; d 3.013, 29.65 deg, intensity 1000; d 2.736, 32.73 deg, intensity 157; d 2.558, 35.08 deg, intensity 499; d 2.312, 38.96 deg, intensity 224; d 1.935, 46.97 deg, intensity 294; d 1.805, 50.56 deg, intensity 366; d 1.802, 50.67 deg, intensity 90; d 1.628, 56.53 deg, intensity 326; d 1.484, 62.62 deg, intensity 113; d 1.368, 68.61 deg, intensity 92



Entry 2:
Calculated X-ray diffraction stick pattern
Compound: TlZnCu3Se4
Radiation: copper Kα
Structure: a structure optimized by DFT (PBE)

Cell and atoms:
```
9
Lattice="5.921 0.000 0.000 0.000 5.921 0.000 0.000 0.000 5.921" Properties=species:S:1:pos:R:3 pbc="T T T"
Tl 0.000 0.000 0.000
Zn 2.960 2.960 2.960
Cu 0.000 0.000 2.960
Cu 0.000 2.960 0.000
Cu 2.960 0.000 0.000
Se 1.554 1.554 1.554
Se 1.554 4.367 4.367
Se 4.367 1.554 4.367
Se 4.367 4.367 1.554
```

The 12 most intense peaks (5° ≤ 2θ ≤ 70°), sorted by position:
d 5.921, 14.96 deg, intensity 329; d 4.186, 21.22 deg, intensity 419; d 3.418, 26.07 deg, intensity 453; d 2.648, 33.85 deg, intensity 312; d 2.417, 37.20 deg, intensity 209; d 2.093, 43.22 deg, intensity 1000; d 1.974, 45.99 deg, intensity 132; d 1.872, 48.63 deg, intensity 90; d 1.785, 51.17 deg, intensity 193; d 1.582, 58.31 deg, intensity 124; d 1.480, 62.78 deg, intensity 157; d 1.436, 64.94 deg, intensity 100



Entry 3:
Calculated X-ray diffraction stick pattern
Compound: TmCuSe2
Radiation: copper Kα
Structure: a structure optimized by DFT (PBE)

Cell and atoms:
```
4
Lattice="4.054 0.000 0.000 -2.027 3.511 0.000 0.000 0.000 6.377" Properties=species:S:1:pos:R:3 pbc="T T T"
Tm 0.000 0.000 0.000
Cu 2.027 1.170 2.442
Se 0.000 2.341 1.717
Se 2.027 1.170 4.885
```

The 12 most intense peaks (5° ≤ 2θ ≤ 70°), sorted by position:
d 6.377, 13.89 deg, intensity 294; d 3.511, 25.37 deg, intensity 92; d 3.075, 29.03 deg, intensity 1000; d 2.360, 38.13 deg, intensity 641; d 2.126, 42.53 deg, intensity 60; d 2.027, 44.71 deg, intensity 494; d 1.932, 47.04 deg, intensity 85; d 1.818, 50.17 deg, intensity 241; d 1.692, 54.20 deg, intensity 174; d 1.538, 60.18 deg, intensity 168; d 1.467, 63.41 deg, intensity 107; d 1.353, 69.44 deg, intensity 90